Diffraction record for LiBeAl2Cu4. The powder X-ray diffraction pattern is calculated, not measured: it uses a crystal structure in OQMD, relaxed with GGA-PBE and Cu Kα (weighted mean of Kα1 and Kα2).
Lines closer than 0.1° are merged.

Peak list (10 most intense, 10° ≤ 2θ ≤ 80°, low angle first)
Position (°2θ)  intensity
26.8  6.4
30.4  29.0
31.4  50.6
44.3  100.0
45.0  46.9
55.3  18.3
63.3  8.0
65.5  13.5
72.3  8.0
73.9  6.4

Cell lengths 7.1270, 7.1270, 7.1270 Å; angles 132.86, 132.86, 68.87 degrees
Atoms (fractional coordinates):
Li 0.3750 0.6250 0.7500
Li 0.6250 0.3750 0.2500
Be 0.1250 0.8750 0.2500
Be 0.8750 0.1250 0.7500
Al 0.1344 0.3844 0.7500
Al 0.3844 0.1344 0.2500
Al 0.6156 0.8656 0.7500
Al 0.8656 0.6156 0.2500
Cu 0.0000 0.2308 0.2308
Cu 0.0000 0.7692 0.7692
Cu 0.2308 0.0000 0.7308
Cu 0.2308 0.5000 0.2308
Cu 0.5000 0.2308 0.7308
Cu 0.5000 0.7692 0.2692
Cu 0.7692 0.0000 0.2692
Cu 0.7692 0.5000 0.7692